Record 1
Diffraction record for BaCu2Ag9. The PXRD pattern is theoretical, not measured: it uses the PBE geometry in Alexandria and copper Kα.
Lines closer than 0.1° are merged.

Largest 12 diffraction maxima, by angle, 10 to 90 degrees two-theta:
2θ (°)	Rel. int.	h k l
30.9	20	3 2 1
34.8	100	3 1 2
35.4	80	4 2 0
37.2	33	1 0 3
40.0	31	4 0 2
40.6	24	2 1 3
41.7	92	5 0 1
43.2	39	4 2 2
53.2	21	5 4 1
63.2	30	5 5 2
67.9	21	3 0 5
70.2	20	5 3 4

Structural model:
```
data_BaCu2Ag9
_chemical_formula_sum 'Ba4 Cu8 Ag36'
_cell_length_a 11.3365
_cell_length_b 11.3365
_cell_length_c 7.4131
_cell_angle_alpha 90.00
_cell_angle_beta 90.00
_cell_angle_gamma 90.00
_symmetry_space_group_name_H-M 'I 41/a m d'
_symmetry_Int_Tables_number 141
loop_
_symmetry_equiv_pos_as_xyz
'x,y,z'
'-x,-y,-z'
'-y+1/4,x+3/4,z+1/4'
'y+1/4,-x+3/4,-z+1/4'
'-x+1/2,-y,z+1/2'
'x+1/2,y,-z+1/2'
'y+1/4,-x+1/4,z+3/4'
'-y+1/4,x+1/4,-z+3/4'
'x,-y,-z'
'-x,y,z'
'-y+1/4,-x+1/4,-z+3/4'
'y+1/4,x+1/4,z+3/4'
'-x+1/2,y,-z+1/2'
'x+1/2,-y,z+1/2'
'y+1/4,x+3/4,-z+1/4'
'-y+1/4,-x+3/4,z+1/4'
'x+1/2,y+1/2,z+1/2'
'-x+1/2,-y+1/2,-z+1/2'
'-y+3/4,x+1/4,z+3/4'
'y+3/4,-x+1/4,-z+3/4'
'-x,-y+1/2,z'
'x,y+1/2,-z'
'y+3/4,-x+3/4,z+1/4'
'-y+3/4,x+3/4,-z+1/4'
'x+1/2,-y+1/2,-z+1/2'
'-x+1/2,y+1/2,z+1/2'
'-y+3/4,-x+3/4,-z+1/4'
'y+3/4,x+3/4,z+1/4'
'-x,y+1/2,-z'
'x,-y+1/2,z'
'y+3/4,x+1/4,-z+3/4'
'-y+3/4,-x+1/4,z+3/4'
loop_
_atom_site_label
_atom_site_fract_x
_atom_site_fract_y
_atom_site_fract_z
Ba1 0.0000 0.2500 0.3750
Cu1 0.0000 0.0000 0.0000
Ag1 0.0000 0.2500 0.8750
Ag2 0.1230 0.0467 0.6916
```

***

Record 2
Diffraction record for BaCu2Ag. The PXRD pattern is theoretical, not measured: it uses the PBE geometry in Alexandria and copper Kα.
Lines closer than 0.1° are merged.

Largest 12 diffraction maxima, by angle, 10 to 90 degrees two-theta:
2θ (°)	Rel. int.	h k l
16.1	26	0 0 3
25.2	47	0 1 2
31.5	85	1 0 4
32.5	44	0 0 6
35.6	22	0 1 5
40.0	100	1 1 0
51.8	20	0 2 4
52.4	66	1 1 6
60.9	24	1 0 10
67.3	18	2 1 4
81.8	17	3 0 6
88.9	17	2 1 10

Structural model:
```
data_BaCu2Ag
_chemical_formula_sum 'Ba3 Cu6 Ag3'
_cell_length_a 4.5127
_cell_length_b 4.5127
_cell_length_c 16.5133
_cell_angle_alpha 90.00
_cell_angle_beta 90.00
_cell_angle_gamma 120.00
_symmetry_space_group_name_H-M 'R -3 m'
_symmetry_Int_Tables_number 166
_symmetry_space_group_name_Hall '-R 3 2"'
loop_
_atom_site_label
_atom_site_fract_x
_atom_site_fract_y
_atom_site_fract_z
Ba1 0.0000 0.0000 0.0000
Cu1 0.0000 0.0000 0.1905
Ag1 0.0000 0.0000 0.5000
```

***

Record 3
Diffraction record for Ba2MgCuAg2F14. The PXRD pattern is theoretical, not measured: it uses the PBE geometry in Alexandria and copper Kα.
Lines closer than 0.1° are merged.

Largest 12 diffraction maxima, by angle, 10 to 90 degrees two-theta:
2θ (°)	Rel. int.	h k l
22.9	78	0 0 4
25.1	100	1 -1 0
25.3	80	1 2 0
27.3	65	1 2 2
27.9	77	0 2 -2
28.3	41	1 1 4
28.4	53	1 0 4
29.9	41	1 0 -4
30.1	38	1 1 -4
33.7	36	2 1 0
39.6	37	0 3 2
40.0	38	0 3 -2

Structural model:
```
data_Ba2MgCuAg2F14
_chemical_formula_sum 'Ba4 Mg2 Cu2 Ag4 F28'
_cell_length_a 5.3249
_cell_length_b 7.5629
_cell_length_c 15.5544
_cell_angle_alpha 87.80
_cell_angle_beta 86.47
_cell_angle_gamma 69.83
_symmetry_space_group_name_H-M 'P -1'
_symmetry_Int_Tables_number 2
loop_
_symmetry_equiv_pos_as_xyz
'x,y,z'
'-x,-y,-z'
loop_
_atom_site_label
_atom_site_fract_x
_atom_site_fract_y
_atom_site_fract_z
Ba1 0.1091 0.1256 0.1190
Ba2 0.2772 0.1213 0.6280
Mg1 0.4386 0.4580 0.2358
Cu1 0.5000 0.5000 0.0000
Cu2 0.5000 0.5000 0.5000
Ag1 0.0915 0.2740 0.3685
Ag2 0.1561 0.2733 0.8736
F1 0.0272 0.1296 0.7806
F2 0.1177 0.4668 0.1661
F3 0.1393 0.9896 0.3934
F4 0.1415 0.5353 0.3306
F5 0.1506 0.6575 0.5050
F6 0.1780 0.7467 0.0420
F7 0.2022 0.7121 0.7248
F8 0.2687 0.3558 0.9951
F9 0.3589 0.0000 0.9198
F10 0.3838 0.5995 0.8862
F11 0.3914 0.1787 0.2593
F12 0.4137 0.2114 0.4551
F13 0.4333 0.4170 0.6059
F14 0.4634 0.3032 0.7785
```

***

Record 4
Diffraction record for Ba2CuAgN. The PXRD pattern is theoretical, not measured: it uses the PBE geometry in Alexandria and copper Kα.
Lines closer than 0.1° are merged.

Largest 12 diffraction maxima, by angle, 10 to 90 degrees two-theta:
2θ (°)	Rel. int.	h k l
24.6	16	1 1 0
26.5	26	2 0 0
27.2	30	2 0 -2
27.5	21	1 0 2
28.8	100	0 1 2
30.0	30	0 0 3
32.6	22	2 0 -3
33.9	34	2 1 0
34.4	29	2 1 -2
34.7	15	1 1 2
42.2	28	0 2 0
58.0	17	3 1 -5

Structural model:
```
data_Ba2CuAgN
_chemical_formula_sum 'Ba4 Cu2 Ag2 N2'
_cell_length_a 7.1575
_cell_length_b 4.2878
_cell_length_c 9.5037
_cell_angle_alpha 90.00
_cell_angle_beta 110.03
_cell_angle_gamma 90.00
_symmetry_space_group_name_H-M 'P 1 21/m 1'
_symmetry_Int_Tables_number 11
loop_
_symmetry_equiv_pos_as_xyz
'x,y,z'
'-x,-y,-z'
'-x,y+1/2,-z'
'x,-y+1/2,z'
loop_
_atom_site_label
_atom_site_fract_x
_atom_site_fract_y
_atom_site_fract_z
Ba1 0.1932 0.2500 0.3696
Ba2 0.2118 0.2500 0.9686
Cu1 0.4561 0.7500 0.2500
Ag1 0.3233 0.7500 0.6940
N1 0.1776 0.7500 0.1674
```